# 1
This entry pairs a crystal structure of Y3Se5 with its theoretical XRD peak list. Radiation: Cu Kα (λ = 1.5418 Å). Structure: a DFT-relaxed cell (GGA-PBE, Alexandria).
Lines closer than 0.1° are merged.

```
data_Y3Se5
_space_group_name_H-M_alt 'F m m 2'
_space_group_IT_number 42
_space_group_name_Hall 'F 2 -2'
_cell_length_a 14.7708
_cell_length_b 15.6083
_cell_length_c 6.9761
_cell_angle_alpha 90.00
_cell_angle_beta 90.00
_cell_angle_gamma 90.00
loop_
_atom_site_label
_atom_site_type_symbol
_atom_site_fract_x
_atom_site_fract_y
_atom_site_fract_z
Y1 Y 0.0000 0.1482 0.0000
Y2 Y 0.1519 0.0000 0.5031
Y3 Y 0.2500 0.2500 0.3814
Se1 Se 0.0000 0.0000 0.2554
Se2 Se 0.0000 0.0000 0.7696
Se3 Se 0.1021 0.1873 0.6250
Se4 Se 0.1932 0.1075 0.1334
```

Principal peaks in the range 15° ≤ 2θ ≤ 90°, low angle first:
- 30.57°, intensity 50.1, (2 2 2)
- 31.99°, intensity 48.3, (1 5 1)
- 33.44°, intensity 46.3, (5 1 1)
- 36.44°, intensity 50.6, (3 5 1)
- 36.63°, intensity 91.5, (2 6 0)
- 37.29°, intensity 100.0, (5 3 1)
- 38.34°, intensity 34.0, (6 2 0)
- 42.52°, intensity 33.1, (4 4 2)

---

# 2
This entry pairs a crystal structure of Y3Se2 with its theoretical XRD peak list. Radiation: Cu Kα (λ = 1.5418 Å). Structure: a DFT-relaxed cell (GGA-PBE, Alexandria).
Lines closer than 0.1° are merged.

```
data_Y3Se2
_space_group_name_H-M_alt 'P -3 m 1'
_space_group_IT_number 164
_space_group_name_Hall '-P 3 2"'
_cell_length_a 3.9113
_cell_length_b 3.9113
_cell_length_c 10.0433
_cell_angle_alpha 90.00
_cell_angle_beta 90.00
_cell_angle_gamma 120.00
loop_
_atom_site_label
_atom_site_type_symbol
_atom_site_fract_x
_atom_site_fract_y
_atom_site_fract_z
Y1 Y 0.0000 0.0000 0.0000
Y2 Y 0.3333 0.6667 0.3596
Se1 Se 0.3333 0.6667 0.8250
```

Principal peaks in the range 15° ≤ 2θ ≤ 90°, low angle first:
- 27.80°, intensity 19.2, (1 0 1)
- 31.87°, intensity 100.0, (1 0 2)
- 37.78°, intensity 11.4, (0 1 3)
- 44.94°, intensity 30.3, (0 1 4)
- 46.43°, intensity 33.6, (1 1 0)
- 57.42°, intensity 17.9, (0 2 2)
- 74.63°, intensity 10.0, (1 1 6)
- 76.84°, intensity 14.9, (2 1 2)

---

# 3
This entry pairs a crystal structure of Y2Se3 with its theoretical XRD peak list. Radiation: Cu Kα (λ = 1.5418 Å). Structure: a DFT-relaxed cell (GGA-PBE, Alexandria).
Lines closer than 0.1° are merged.

```
data_Y2Se3
_space_group_name_H-M_alt 'I -4 2 d'
_space_group_IT_number 122
_space_group_name_Hall 'I -4 2bw'
_cell_length_a 8.7101
_cell_length_b 8.7101
_cell_length_c 26.1281
_cell_angle_alpha 90.00
_cell_angle_beta 90.00
_cell_angle_gamma 90.00
loop_
_atom_site_label
_atom_site_type_symbol
_atom_site_fract_x
_atom_site_fract_y
_atom_site_fract_z
Y1 Y 0.0000 0.0000 0.1658
Y2 Y 0.1167 0.7500 0.6250
Y3 Y 0.1342 0.7400 0.9609
Se1 Se 0.0659 0.6793 0.1842
Se2 Se 0.0701 0.6824 0.8553
Se3 Se 0.0794 0.6768 0.5170
```

Principal peaks in the range 15° ≤ 2θ ≤ 90°, low angle first:
- 32.51°, intensity 100.0, (3 1 0)
- 38.68°, intensity 63.0, (2 1 9)
- 46.64°, intensity 12.4, (4 0 6)
- 51.39°, intensity 13.7, (4 2 6)
- 53.66°, intensity 20.0, (3 1 12)
- 66.13°, intensity 23.0, (1 1 18)
- 70.01°, intensity 12.1, (5 1 12)
- 81.15°, intensity 14.4, (2 1 21)

---

# 4
This entry pairs a crystal structure of Y7ZnSe5 with its theoretical XRD peak list. Radiation: Cu Kα (λ = 1.5418 Å). Structure: a DFT-relaxed cell (GGA-PBE, Alexandria).
Lines closer than 0.1° are merged.

```
data_Y7ZnSe5
_space_group_name_H-M_alt 'C 1 2/m 1'
_space_group_IT_number 12
_cell_length_a 13.3605
_cell_length_b 4.0393
_cell_length_c 24.3452
_cell_angle_alpha 90.00
_cell_angle_beta 90.02
_cell_angle_gamma 90.00
loop_
_space_group_symop_operation_xyz
'x,y,z'
'-x,-y,-z'
'-x,y,-z'
'x,-y,z'
'x+1/2,y+1/2,z'
'-x+1/2,-y+1/2,-z'
'-x+1/2,y+1/2,-z'
'x+1/2,-y+1/2,z'
loop_
_atom_site_label
_atom_site_type_symbol
_atom_site_fract_x
_atom_site_fract_y
_atom_site_fract_z
Y1 Y 0.0315 0.0000 0.2501
Y2 Y 0.0893 0.5000 0.1137
Y3 Y 0.0890 0.5000 0.3863
Y4 Y 0.1382 0.0000 0.5369
Y5 Y 0.1382 0.0000 0.9631
Y6 Y 0.1913 0.5000 0.6792
Y7 Y 0.1909 0.5000 0.8209
Zn1 Zn 0.1963 0.5000 0.2498
Se1 Se 0.0000 0.5000 0.0000
Se2 Se 0.0000 0.5000 0.5000
Se3 Se 0.0522 0.0000 0.8572
Se4 Se 0.0526 0.0000 0.6428
Se5 Se 0.2231 0.0000 0.0717
Se6 Se 0.2229 0.0000 0.4283
```

Principal peaks in the range 15° ≤ 2θ ≤ 90°, low angle first:
- 28.94°, intensity 62.9, (2 0 7)
- 30.09°, intensity 32.3, (3 1 1)
- 30.77°, intensity 100.0, (3 1 2)
- 31.88°, intensity 75.5, (3 1 -3)
- 32.33°, intensity 43.0, (2 0 8)
- 40.71°, intensity 37.2, (1 1 -9)
- 44.73°, intensity 63.3, (6 0 -5)
- 44.88°, intensity 38.5, (0 2 0)

---

# 5
This entry pairs a crystal structure of Yb2Se3 with its theoretical XRD peak list. Radiation: Cu Kα (λ = 1.5418 Å). Structure: a DFT-relaxed cell (GGA-PBE, Alexandria).
Lines closer than 0.1° are merged.

```
data_Yb2Se3
_space_group_name_H-M_alt 'F d d d'
_space_group_IT_number 70
_cell_length_a 8.2182
_cell_length_b 11.4903
_cell_length_c 24.5941
_cell_angle_alpha 90.00
_cell_angle_beta 90.00
_cell_angle_gamma 90.00
loop_
_space_group_symop_operation_xyz
'x,y,z'
'-x,-y,-z'
'-x+1/4,-y+1/4,z'
'x+1/4,y+1/4,-z'
'x,-y+1/4,-z+1/4'
'-x,y+1/4,z+1/4'
'-x+1/4,y,-z+1/4'
'x+1/4,-y,z+1/4'
'x,y+1/2,z+1/2'
'-x,-y+1/2,-z+1/2'
'-x+1/4,-y+3/4,z+1/2'
'x+1/4,y+3/4,-z+1/2'
'x,-y+3/4,-z+3/4'
'-x,y+3/4,z+3/4'
'-x+1/4,y+1/2,-z+3/4'
'x+1/4,-y+1/2,z+3/4'
'x+1/2,y,z+1/2'
'-x+1/2,-y,-z+1/2'
'-x+3/4,-y+1/4,z+1/2'
'x+3/4,y+1/4,-z+1/2'
'x+1/2,-y+1/4,-z+3/4'
'-x+1/2,y+1/4,z+3/4'
'-x+3/4,y,-z+3/4'
'x+3/4,-y,z+3/4'
'x+1/2,y+1/2,z'
'-x+1/2,-y+1/2,-z'
'-x+3/4,-y+3/4,z'
'x+3/4,y+3/4,-z'
'x+1/2,-y+3/4,-z+1/4'
'-x+1/2,y+3/4,z+1/4'
'-x+3/4,y+1/2,-z+1/4'
'x+3/4,-y+1/2,z+1/4'
loop_
_atom_site_label
_atom_site_type_symbol
_atom_site_fract_x
_atom_site_fract_y
_atom_site_fract_z
Yb1 Yb 0.1250 0.1250 0.0400
Yb2 Yb 0.1250 0.1250 0.3788
Se1 Se 0.1141 0.3750 0.3750
Se2 Se 0.1150 0.3722 0.2059
```

Principal peaks in the range 15° ≤ 2θ ≤ 90°, low angle first:
- 22.44°, intensity 17.7, (1 1 5)
- 30.81°, intensity 100.0, (2 0 6)
- 31.14°, intensity 49.4, (0 4 0)
- 44.08°, intensity 18.4, (4 0 0)
- 44.19°, intensity 18.1, (0 0 12)
- 44.37°, intensity 73.1, (2 4 6)
- 54.99°, intensity 38.7, (4 4 0)
- 73.03°, intensity 23.6, (4 4 12)

---

# 6
This entry pairs a crystal structure of Zn6Se7 with its theoretical XRD peak list. Radiation: Cu Kα (λ = 1.5418 Å). Structure: a DFT-relaxed cell (GGA-PBE, Alexandria).
Lines closer than 0.1° are merged.

```
data_Zn6Se7
_space_group_name_H-M_alt 'R -3 m'
_space_group_IT_number 166
_space_group_name_Hall '-R 3 2"'
_cell_length_a 5.7926
_cell_length_b 5.7926
_cell_length_c 32.6634
_cell_angle_alpha 90.00
_cell_angle_beta 90.00
_cell_angle_gamma 120.00
loop_
_atom_site_label
_atom_site_type_symbol
_atom_site_fract_x
_atom_site_fract_y
_atom_site_fract_z
Zn1 Zn 0.0000 0.0000 0.0378
Zn2 Zn 0.0000 0.0000 0.1814
Zn3 Zn 0.0000 0.0000 0.3323
Se1 Se 0.0000 0.0000 0.5000
Se2 Se 0.0027 0.5014 0.0644
```

Principal peaks in the range 15° ≤ 2θ ≤ 90°, low angle first:
- 24.53°, intensity 49.6, (0 0 9)
- 30.87°, intensity 35.9, (1 1 0)
- 35.10°, intensity 100.0, (1 1 6)
- 35.91°, intensity 46.2, (0 2 1)
- 40.14°, intensity 29.1, (1 0 13)
- 40.85°, intensity 53.8, (0 2 7)
- 42.29°, intensity 52.5, (2 0 8)
- 64.33°, intensity 32.8, (2 2 0)

---

# 7
This entry pairs a crystal structure of ZnSe4 with its theoretical XRD peak list. Radiation: Cu Kα (λ = 1.5418 Å). Structure: a DFT-relaxed cell (GGA-PBE, Alexandria).
Lines closer than 0.1° are merged.

```
data_ZnSe4
_space_group_name_H-M_alt 'I m -3 m'
_space_group_IT_number 229
_space_group_name_Hall '-I 4 2 3'
_cell_length_a 6.1472
_cell_length_b 6.1472
_cell_length_c 6.1472
_cell_angle_alpha 90.00
_cell_angle_beta 90.00
_cell_angle_gamma 90.00
loop_
_atom_site_label
_atom_site_type_symbol
_atom_site_fract_x
_atom_site_fract_y
_atom_site_fract_z
Zn1 Zn 0.0000 0.0000 0.0000
Se1 Se 0.2500 0.2500 0.2500
```

Principal peaks in the range 15° ≤ 2θ ≤ 90°, low angle first:
- 20.43°, intensity 21.5, (1 1 0)
- 29.05°, intensity 53.9, (2 0 0)
- 35.78°, intensity 10.3, (2 1 1)
- 41.55°, intensity 100.0, (2 2 0)
- 51.50°, intensity 14.2, (2 2 2)
- 60.22°, intensity 16.3, (4 0 0)
- 68.23°, intensity 18.4, (4 2 0)
- 75.81°, intensity 32.9, (4 2 2)

---

# 8
This entry pairs a crystal structure of ZrZnSe2 with its theoretical XRD peak list. Radiation: Cu Kα (λ = 1.5418 Å). Structure: a DFT-relaxed cell (GGA-PBE, Alexandria).
Lines closer than 0.1° are merged.

```
data_ZrZnSe2
_space_group_name_H-M_alt 'R -3 m'
_space_group_IT_number 166
_space_group_name_Hall '-R 3 2"'
_cell_length_a 3.7221
_cell_length_b 3.7221
_cell_length_c 25.9199
_cell_angle_alpha 90.00
_cell_angle_beta 90.00
_cell_angle_gamma 120.00
loop_
_atom_site_label
_atom_site_type_symbol
_atom_site_fract_x
_atom_site_fract_y
_atom_site_fract_z
Zr1 Zr 0.0000 0.0000 0.0000
Zn1 Zn 0.0000 0.0000 0.5000
Se1 Se 0.0000 0.0000 0.3970
```

Principal peaks in the range 15° ≤ 2θ ≤ 90°, low angle first:
- 27.89°, intensity 27.1, (1 0 1)
- 28.54°, intensity 100.0, (0 1 2)
- 32.71°, intensity 51.9, (0 1 5)
- 39.43°, intensity 53.1, (0 1 8)
- 44.87°, intensity 67.3, (1 0 10)
- 48.94°, intensity 52.8, (1 1 0)
- 68.56°, intensity 18.3, (0 2 10)
- 88.72°, intensity 18.7, (2 1 10)

---

# 9
This entry pairs a crystal structure of Sm5Si3 with its theoretical XRD peak list. Radiation: Cu Kα (λ = 1.5418 Å). Structure: a DFT-relaxed cell (GGA-PBE, Alexandria).
Lines closer than 0.1° are merged.

```
data_Sm5Si3
_space_group_name_H-M_alt 'P 63/m c m'
_space_group_IT_number 193
_space_group_name_Hall '-P 6c 2'
_cell_length_a 8.6595
_cell_length_b 8.6595
_cell_length_c 6.5683
_cell_angle_alpha 90.00
_cell_angle_beta 90.00
_cell_angle_gamma 120.00
loop_
_atom_site_label
_atom_site_type_symbol
_atom_site_fract_x
_atom_site_fract_y
_atom_site_fract_z
Sm1 Sm 0.0000 0.2458 0.2500
Sm2 Sm 0.3333 0.6667 0.0000
Si1 Si 0.0000 0.3932 0.7500
```

Principal peaks in the range 15° ≤ 2θ ≤ 90°, low angle first:
- 23.73°, intensity 36.1, (2 0 0)
- 24.63°, intensity 51.2, (1 1 1)
- 29.70°, intensity 53.2, (1 0 2)
- 31.56°, intensity 51.9, (2 1 0)
- 34.27°, intensity 99.3, (1 1 2)
- 34.46°, intensity 100.0, (2 1 1)
- 35.93°, intensity 43.5, (3 0 0)
- 56.52°, intensity 34.1, (4 0 2)

---

# 10
This entry pairs a crystal structure of Sm12Si5Sn with its theoretical XRD peak list. Radiation: Cu Kα (λ = 1.5418 Å). Structure: a DFT-relaxed cell (GGA-PBE, Alexandria).
Lines closer than 0.1° are merged.

```
data_Sm12Si5Sn
_space_group_name_H-M_alt 'I m m m'
_space_group_IT_number 71
_space_group_name_Hall '-I 2 2'
_cell_length_a 9.6537
_cell_length_b 9.8054
_cell_length_c 10.4722
_cell_angle_alpha 90.00
_cell_angle_beta 90.00
_cell_angle_gamma 90.00
loop_
_atom_site_label
_atom_site_type_symbol
_atom_site_fract_x
_atom_site_fract_y
_atom_site_fract_z
Sm1 Sm 0.0000 0.1986 0.2311
Sm2 Sm 0.2047 0.5000 0.1795
Sm3 Sm 0.2289 0.3184 0.5000
Si1 Si 0.0000 0.0000 0.0000
Si2 Si 0.0000 0.3757 0.0000
Si3 Si 0.0000 0.5000 0.3864
Sn1 Sn 0.0000 0.0000 0.5000
```

Principal peaks in the range 15° ≤ 2θ ≤ 90°, low angle first:
- 27.13°, intensity 23.0, (0 1 3)
- 28.61°, intensity 28.7, (0 3 1)
- 29.21°, intensity 21.0, (3 1 0)
- 31.11°, intensity 100.0, (2 2 2)
- 32.96°, intensity 45.6, (2 1 3)
- 33.63°, intensity 33.3, (1 3 2)
- 34.23°, intensity 37.1, (0 0 4)
- 37.26°, intensity 23.5, (4 0 0)

---

# 11
This entry pairs a crystal structure of SmSiSn with its theoretical XRD peak list. Radiation: Cu Kα (λ = 1.5418 Å). Structure: a DFT-relaxed cell (GGA-PBE, Alexandria).
Lines closer than 0.1° are merged.

```
data_SmSiSn
_space_group_name_H-M_alt 'C m c m'
_space_group_IT_number 63
_space_group_name_Hall '-C 2c 2'
_cell_length_a 4.3282
_cell_length_b 17.0007
_cell_length_c 3.9797
_cell_angle_alpha 90.00
_cell_angle_beta 90.00
_cell_angle_gamma 90.00
loop_
_atom_site_label
_atom_site_type_symbol
_atom_site_fract_x
_atom_site_fract_y
_atom_site_fract_z
Sm1 Sm 0.0000 0.0944 0.2500
Si1 Si 0.0000 0.4569 0.2500
Sn1 Sn 0.0000 0.2606 0.7500
```

Principal peaks in the range 15° ≤ 2θ ≤ 90°, low angle first:
- 21.18°, intensity 15.6, (1 1 0)
- 24.70°, intensity 27.9, (0 2 1)
- 31.58°, intensity 24.1, (0 6 0)
- 33.52°, intensity 24.5, (1 5 0)
- 34.46°, intensity 100.0, (1 3 1)
- 41.74°, intensity 16.2, (2 0 0)
- 45.59°, intensity 12.6, (0 0 2)
- 48.57°, intensity 12.8, (0 8 1)

---

# 12
This entry pairs a crystal structure of SmSi4Tc9 with its theoretical XRD peak list. Radiation: Cu Kα (λ = 1.5418 Å). Structure: a DFT-relaxed cell (GGA-PBE, Alexandria).
Lines closer than 0.1° are merged.

```
data_SmSi4Tc9
_space_group_name_H-M_alt 'I 4/m c m'
_space_group_IT_number 140
_space_group_name_Hall '-I 4 2c'
_cell_length_a 8.3426
_cell_length_b 8.3426
_cell_length_c 12.6184
_cell_angle_alpha 90.00
_cell_angle_beta 90.00
_cell_angle_gamma 90.00
loop_
_atom_site_label
_atom_site_type_symbol
_atom_site_fract_x
_atom_site_fract_y
_atom_site_fract_z
Sm1 Sm 0.0000 0.0000 0.2500
Si1 Si 0.1670 0.3330 0.1278
Tc1 Tc 0.0000 0.5000 0.0000
Tc2 Tc 0.0668 0.1908 0.5000
Tc3 Tc 0.1314 0.3686 0.3212
```

Principal peaks in the range 15° ≤ 2θ ≤ 90°, low angle first:
- 24.89°, intensity 23.0, (2 1 1)
- 28.29°, intensity 18.4, (0 0 4)
- 32.18°, intensity 16.4, (1 1 4)
- 35.68°, intensity 17.8, (2 0 4)
- 36.93°, intensity 100.0, (3 1 2)
- 43.28°, intensity 31.0, (2 1 5)
- 44.71°, intensity 47.1, (3 2 3)
- 45.40°, intensity 18.5, (4 1 1)